Mn4FeO8: calculated X-ray diffraction stick pattern (Cu Ka), based on a GGA+U-relaxed structure.
Kinematic intensities with the Lorentz-polarization factor, no thermal factor.

Most intense lines, 15° ≤ 2θ ≤ 90°, by angle:
2θ (°), I (rel.)
17.3, 100
18.3, 25
35.0, 19
36.0, 16
37.2, 14
41.6, 33
43.0, 61
55.8, 11
60.1, 16
62.6, 17

Cell and atoms:
Unit cell a=5.9363 b=5.9363 c=6.0968 alpha=118.25 beta=118.25 gamma=58.74
Element x y z (fractional)
Mn 0.0000 0.0000 0.0000
Mn 0.0000 0.5000 0.0000
Mn 0.5000 0.0000 0.0000
Mn 0.5000 0.5000 0.5000
Fe 0.5000 0.5000 0.0000
O 0.2278 0.7204 0.1972
O 0.2542 0.2542 0.2154
O 0.2724 0.2724 0.8101
O 0.2796 0.7722 0.8028
O 0.7204 0.2278 0.1972
O 0.7276 0.7276 0.1899
O 0.7458 0.7458 0.7846
O 0.7722 0.2796 0.8028

MnFe2O3: calculated X-ray diffraction stick pattern (Cu Ka), based on a GGA+U-relaxed structure.
Kinematic intensities with the Lorentz-polarization factor, no thermal factor.

Most intense lines, 15° ≤ 2θ ≤ 90°, by angle:
2θ (°), I (rel.)
35.0, 95
40.3, 100
41.0, 47
58.4, 29
58.9, 56
69.9, 25
70.8, 12
73.8, 26
87.2, 8
89.0, 4

Cell and atoms:
Unit cell a=6.9662 b=6.9662 c=4.4710 alpha=90.00 beta=90.00 gamma=142.56
Element x y z (fractional)
Mn 0.1654 0.8346 0.0000
Mn 0.8346 0.1654 0.0000
Fe 0.0000 0.0000 0.5000
Fe 0.3312 0.6688 0.5000
Fe 0.5000 0.5000 0.0000
Fe 0.6688 0.3312 0.5000
O 0.0000 0.0000 0.0000
O 0.1691 0.8309 0.5000
O 0.3357 0.6643 0.0000
O 0.5000 0.5000 0.5000
O 0.6643 0.3357 0.0000
O 0.8309 0.1691 0.5000

Mn2FeO4: calculated X-ray diffraction stick pattern (Cu Ka), based on a GGA+U-relaxed structure.
Kinematic intensities with the Lorentz-polarization factor, no thermal factor.

Most intense lines, 15° ≤ 2θ ≤ 90°, by angle:
2θ (°), I (rel.)
28.5, 26
28.7, 25
32.0, 100
35.7, 68
35.9, 68
37.5, 23
50.1, 33
59.1, 39
59.3, 39
64.0, 29

Cell and atoms:
Unit cell a=6.3056 b=5.8165 c=6.3254 alpha=62.41 beta=54.84 gamma=62.75
Element x y z (fractional)
Mn 0.9999 0.0001 0.2497
Mn 0.0001 0.9999 0.7503
Mn 0.0003 0.4997 0.2501
Mn 0.4997 0.0003 0.2499
Fe 0.3740 0.3740 0.6260
Fe 0.6240 0.6240 0.8760
O 0.2185 0.7592 0.0150
O 0.2350 0.2428 0.0315
O 0.2419 0.7824 0.4927
O 0.2428 0.2350 0.4908
O 0.7573 0.7671 0.0081
O 0.7592 0.2185 0.0072
O 0.7671 0.7573 0.4676
O 0.7824 0.2419 0.4829

Mn13Fe11O32: calculated X-ray diffraction stick pattern (Cu Ka), based on a GGA+U-relaxed structure.
Kinematic intensities with the Lorentz-polarization factor, no thermal factor.

Most intense lines, 15° ≤ 2θ ≤ 90°, by angle:
2θ (°), I (rel.)
17.6, 35
30.6, 100
32.3, 83
34.1, 42
34.5, 36
34.6, 37
36.0, 66
37.4, 48
53.0, 54
59.5, 36

Cell and atoms:
Unit cell a=6.0680 b=6.1653 c=20.3550 alpha=82.93 beta=89.75 gamma=60.70
Element x y z (fractional)
Mn 0.0000 0.0000 0.0000
Mn 0.0945 0.0934 0.2813
Mn 0.1255 0.6200 0.3752
Mn 0.1555 0.1514 0.4697
Mn 0.2540 0.2436 0.7502
Mn 0.3486 0.3368 0.0310
Mn 0.4042 0.4099 0.2193
Mn 0.5958 0.5901 0.7807
Mn 0.6514 0.6632 0.9690
Mn 0.7460 0.7564 0.2498
Mn 0.8445 0.8486 0.5303
Mn 0.8745 0.3800 0.6248
Mn 0.9055 0.9066 0.7187
Fe 0.1219 0.6270 0.8748
Fe 0.1226 0.1272 0.8746
Fe 0.3727 0.3786 0.6250
Fe 0.3754 0.8734 0.1251
Fe 0.3760 0.8755 0.6244
Fe 0.5000 0.5000 0.5000
Fe 0.6240 0.1245 0.3756
Fe 0.6246 0.1266 0.8749
Fe 0.6273 0.6214 0.3750
Fe 0.8774 0.8728 0.1254
Fe 0.8781 0.3730 0.1252
O 0.0230 0.5869 0.1851
O 0.0555 0.0702 0.1780
O 0.0682 0.5345 0.6804
O 0.0976 0.0663 0.6891
O 0.1744 0.1610 0.0645
O 0.1818 0.7077 0.0706
O 0.1832 0.1885 0.5731
O 0.2213 0.6671 0.5667
O 0.2688 0.8394 0.9353
O 0.3040 0.3222 0.9277
O 0.3229 0.7708 0.4338
O 0.3469 0.3080 0.4384
O 0.4201 0.4144 0.8134
O 0.4294 0.9612 0.8202
O 0.4342 0.4360 0.3231
O 0.4736 0.9106 0.3164
O 0.5264 0.0894 0.6836
O 0.5658 0.5640 0.6769
O 0.5706 0.0388 0.1798
O 0.5799 0.5856 0.1866
O 0.6531 0.6920 0.5616
O 0.6771 0.2292 0.5662
O 0.6960 0.6778 0.0723
O 0.7312 0.1606 0.0647
O 0.7787 0.3329 0.4333
O 0.8168 0.8115 0.4269
O 0.8182 0.2923 0.9294
O 0.8256 0.8390 0.9355
O 0.9024 0.9337 0.3109
O 0.9318 0.4655 0.3196
O 0.9445 0.9298 0.8220
O 0.9770 0.4131 0.8149

MnFeO3: calculated X-ray diffraction stick pattern (Cu Ka), based on a GGA+U-relaxed structure.
Kinematic intensities with the Lorentz-polarization factor, no thermal factor.

Most intense lines, 15° ≤ 2θ ≤ 90°, by angle:
2θ (°), I (rel.)
22.8, 16
32.5, 100
37.6, 12
44.5, 10
48.6, 7
54.3, 13
54.4, 27
64.6, 7
64.7, 8
64.9, 8

Cell and atoms:
Unit cell a=8.2702 b=8.2702 c=8.2702 alpha=109.71 beta=109.43 gamma=109.27
Element x y z (fractional)
Mn 0.2181 0.2500 0.4681
Mn 0.2500 0.4663 0.2163
Mn 0.2500 0.9663 0.7163
Mn 0.2819 0.7500 0.0319
Mn 0.7181 0.2500 0.9681
Mn 0.7500 0.0337 0.2837
Mn 0.7500 0.5337 0.7837
Mn 0.7819 0.7500 0.5319
Fe 0.0000 0.0000 0.0000
Fe 0.0000 0.5000 0.5000
Fe 0.0400 0.7900 0.2500
Fe 0.4600 0.7100 0.7500
Fe 0.5000 0.0000 0.5000
Fe 0.5000 0.5000 0.0000
Fe 0.5400 0.2900 0.2500
Fe 0.9600 0.2100 0.7500
O 0.0169 0.7307 0.4559
O 0.0424 0.9927 0.7680
O 0.0592 0.7859 0.0092
O 0.2232 0.7141 0.7732
O 0.2251 0.4390 0.9559
O 0.2246 0.4927 0.4503
O 0.2749 0.2307 0.2139
O 0.2754 0.7256 0.2680
O 0.2768 0.0500 0.4908
O 0.4408 0.4500 0.7268
O 0.4576 0.2256 0.9503
O 0.4831 0.9390 0.7139
O 0.5169 0.0610 0.2861
O 0.5424 0.7744 0.0497
O 0.5592 0.5500 0.2732
O 0.7232 0.9500 0.5092
O 0.7246 0.2744 0.7320
O 0.7251 0.7693 0.7861
O 0.7754 0.5073 0.5497
O 0.7749 0.5610 0.0441
O 0.7768 0.2859 0.2268
O 0.9408 0.2141 0.9908
O 0.9576 0.0073 0.2320
O 0.9831 0.2693 0.5441

Mn3FeO8: calculated X-ray diffraction stick pattern (Cu Ka), based on a GGA+U-relaxed structure.
Kinematic intensities with the Lorentz-polarization factor, no thermal factor.

Most intense lines, 15° ≤ 2θ ≤ 90°, by angle:
2θ (°), I (rel.)
18.5, 100
35.9, 34
37.5, 9
43.6, 49
47.7, 9
57.7, 16
63.3, 21
66.6, 11
76.0, 5
80.0, 5

Cell and atoms:
Unit cell a=8.3047 b=8.3047 c=8.3116 alpha=90.04 beta=90.04 gamma=90.09
Element x y z (fractional)
Mn 0.0000 0.0000 0.0000
Mn 0.9996 0.7521 0.7533
Mn 0.2442 0.5023 0.7526
Mn 0.2471 0.2513 0.9969
Mn 0.2479 0.0004 0.2467
Mn 0.4939 0.2505 0.7490
Mn 0.4977 0.7558 0.2474
Mn 0.4992 0.0045 0.4987
Mn 0.7465 0.2535 0.5000
Mn 0.7495 0.5061 0.2510
Mn 0.7487 0.7529 0.0031
Mn 0.9955 0.5008 0.5013
Fe 0.2472 0.7528 0.5000
Fe 0.4969 0.5031 0.0000
Fe 0.7486 0.0018 0.7515
Fe 0.9982 0.2514 0.2485
O 0.0108 0.5173 0.7353
O 0.0139 0.2325 0.0081
O 0.0159 0.0103 0.2311
O 0.0165 0.7371 0.5171
O 0.2286 0.2372 0.2338
O 0.2297 0.7342 0.7446
O 0.2311 0.5212 0.5165
O 0.2336 0.0170 0.0151
O 0.2552 0.4833 0.9835
O 0.2620 0.2670 0.7636
O 0.2629 0.9835 0.4829
O 0.2658 0.7703 0.2554
O 0.4787 0.2613 0.9819
O 0.4788 0.7689 0.4835
O 0.4809 0.4874 0.7696
O 0.4827 0.9892 0.2647
O 0.5055 0.0192 0.7300
O 0.5122 0.2391 0.5143
O 0.5126 0.5191 0.2304
O 0.5167 0.7448 0.0165
O 0.7293 0.0206 0.5086
O 0.7299 0.2349 0.7342
O 0.7330 0.7380 0.2364
O 0.7387 0.5213 0.0181
O 0.7609 0.4878 0.4857
O 0.7628 0.7714 0.7662
O 0.7651 0.2701 0.2658
O 0.7675 0.9861 0.9919
O 0.9794 0.2707 0.4914
O 0.9808 0.4945 0.2700
O 0.9830 0.7664 0.9849
O 0.9897 0.9841 0.7689